Diffraction record for DyP3O9. The powder X-ray diffraction pattern is computed, not measured: it uses a cell relaxed with GGA-PBE and Cu Kα (λ = 1.5418 Å).
Intensities are scaled so that the largest is 100.

Largest 8 diffraction maxima, by angle, 10 to 90 degrees two-theta:
- 2θ = 15.5°, rel. 60
- 2θ = 18.1°, rel. 21
- 2θ = 18.4°, rel. 34
- 2θ = 22.0°, rel. 42
- 2θ = 22.6°, rel. 22
- 2θ = 24.2°, rel. 100
- 2θ = 25.2°, rel. 31
- 2θ = 28.3°, rel. 21

Unit cell a=7.0640 b=9.7962 c=11.0933 alpha=90.00 beta=91.84 gamma=90.00
Fractional coordinates of all 52 atoms:
Dy 0.1723 0.2500 0.4633
Dy 0.3111 0.2500 0.9819
Dy 0.6889 0.7500 0.0181
Dy 0.8277 0.7500 0.5367
P 0.1782 0.7500 0.1032
P 0.2665 0.0098 0.2324
P 0.2665 0.4902 0.2324
P 0.3157 0.7500 0.6261
P 0.3267 0.0340 0.7161
P 0.3267 0.4660 0.7161
P 0.6733 0.5340 0.2839
P 0.6733 0.9660 0.2839
P 0.6843 0.2500 0.3739
P 0.7335 0.5098 0.7676
P 0.7335 0.9902 0.7676
P 0.8218 0.2500 0.8968
O 0.0111 0.7500 0.0165
O 0.1484 0.7500 0.5389
O 0.1492 0.0856 0.3207
O 0.1492 0.4144 0.3207
O 0.1509 0.6254 0.1965
O 0.1509 0.8746 0.1965
O 0.2283 0.0914 0.6055
O 0.2283 0.4086 0.6055
O 0.2797 0.0897 0.8369
O 0.2797 0.4103 0.8369
O 0.2961 0.6281 0.7228
O 0.2961 0.8719 0.7228
O 0.3278 0.0841 0.1218
O 0.3278 0.4159 0.1218
O 0.3741 0.7500 0.0549
O 0.4492 0.5511 0.3056
O 0.4492 0.9489 0.3056
O 0.4894 0.2500 0.4239
O 0.5106 0.7500 0.5761
O 0.5508 0.0511 0.6944
O 0.5508 0.4489 0.6944
O 0.6259 0.2500 0.9451
O 0.6722 0.5841 0.8782
O 0.6722 0.9159 0.8782
O 0.7039 0.1281 0.2772
O 0.7039 0.3719 0.2772
O 0.7203 0.5897 0.1631
O 0.7203 0.9103 0.1631
O 0.7717 0.5914 0.3945
O 0.7717 0.9086 0.3945
O 0.8491 0.1254 0.8035
O 0.8491 0.3746 0.8035
O 0.8508 0.5856 0.6793
O 0.8508 0.9144 0.6793
O 0.8516 0.2500 0.4611
O 0.9889 0.2500 0.9835

Diffraction record for Dy2P4O13. The powder X-ray diffraction pattern is computed, not measured: it uses a cell relaxed with GGA-PBE and Cu Kα (λ = 1.5418 Å).
Intensities are scaled so that the largest is 100.

Largest 8 diffraction maxima, by angle, 10 to 90 degrees two-theta:
- 2θ = 14.2°, rel. 50
- 2θ = 15.4°, rel. 61
- 2θ = 19.3°, rel. 44
- 2θ = 23.7°, rel. 27
- 2θ = 26.3°, rel. 37
- 2θ = 26.7°, rel. 40
- 2θ = 30.5°, rel. 100
- 2θ = 41.4°, rel. 18

Unit cell a=6.8838 b=6.8838 c=13.0005 alpha=103.93 beta=103.93 gamma=59.09
Fractional coordinates of all 38 atoms:
Dy 0.1896 0.1940 0.0500
Dy 0.1940 0.1896 0.5500
Dy 0.8060 0.8104 0.4500
Dy 0.8104 0.8060 0.9500
P 0.2602 0.2733 0.3403
P 0.2733 0.2602 0.8403
P 0.3399 0.6371 0.1340
P 0.3629 0.6601 0.3660
P 0.6371 0.3399 0.6340
P 0.6601 0.3629 0.8660
P 0.7267 0.7398 0.1597
P 0.7398 0.7267 0.6597
O 0.0627 0.4255 0.4067
O 0.0746 0.4240 0.9051
O 0.1748 0.8164 0.0602
O 0.1836 0.8252 0.4398
O 0.1934 0.2053 0.2241
O 0.2053 0.1934 0.7241
O 0.2551 0.7449 0.2500
O 0.3768 0.3979 0.1029
O 0.3979 0.3768 0.6029
O 0.3983 0.4077 0.3468
O 0.4077 0.3983 0.8468
O 0.4240 0.0746 0.4051
O 0.4255 0.0627 0.9067
O 0.5745 0.9373 0.0933
O 0.5760 0.9254 0.5949
O 0.5923 0.6017 0.1532
O 0.6017 0.5923 0.6532
O 0.6021 0.6232 0.3971
O 0.6232 0.6021 0.8971
O 0.7449 0.2551 0.7500
O 0.7947 0.8066 0.2759
O 0.8066 0.7947 0.7759
O 0.8164 0.1748 0.5602
O 0.8252 0.1836 0.9398
O 0.9254 0.5760 0.0949
O 0.9373 0.5745 0.5933

Diffraction record for DyP3O9. The powder X-ray diffraction pattern is computed, not measured: it uses a cell relaxed with GGA-PBE and Cu Kα (λ = 1.5418 Å).
Intensities are scaled so that the largest is 100.

Largest 8 diffraction maxima, by angle, 10 to 90 degrees two-theta:
- 2θ = 15.5°, rel. 40
- 2θ = 17.4°, rel. 25
- 2θ = 21.0°, rel. 100
- 2θ = 22.7°, rel. 26
- 2θ = 23.8°, rel. 18
- 2θ = 24.9°, rel. 18
- 2θ = 29.3°, rel. 22
- 2θ = 30.1°, rel. 20

Unit cell a=8.0074 b=8.0074 c=10.2643 alpha=122.86 beta=122.86 gamma=51.18
Fractional coordinates of all 26 atoms:
Dy 0.2414 0.7586 0.5000
Dy 0.7586 0.2414 0.0000
P 0.0593 0.2609 0.8415
P 0.2528 0.4555 0.6667
P 0.2609 0.0593 0.3415
P 0.4555 0.2528 0.1667
P 0.6649 0.8246 0.2332
P 0.8246 0.6649 0.7332
O 0.0962 0.1461 0.1979
O 0.1461 0.0962 0.6979
O 0.2202 0.9262 0.3714
O 0.2555 0.6398 0.6645
O 0.2591 0.2930 0.0014
O 0.2930 0.2591 0.5014
O 0.3652 0.4129 0.3090
O 0.4129 0.3652 0.8090
O 0.5139 0.9148 0.3356
O 0.5249 0.9991 0.1345
O 0.6042 0.6760 0.6089
O 0.6398 0.2555 0.1645
O 0.6760 0.6042 0.1089
O 0.8308 0.8813 0.8532
O 0.8813 0.8308 0.3532
O 0.9148 0.5139 0.8356
O 0.9262 0.2202 0.8714
O 0.9991 0.5249 0.6345

Diffraction record for Dy2Pb2O7. The powder X-ray diffraction pattern is computed, not measured: it uses a cell relaxed with GGA-PBE and Cu Kα (λ = 1.5418 Å).
Intensities are scaled so that the largest is 100.

Largest 8 diffraction maxima, by angle, 10 to 90 degrees two-theta:
- 2θ = 28.7°, rel. 100
- 2θ = 33.3°, rel. 37
- 2θ = 47.7°, rel. 48
- 2θ = 56.7°, rel. 46
- 2θ = 59.4°, rel. 11
- 2θ = 77.2°, rel. 19
- 2θ = 79.6°, rel. 15
- 2θ = 89.0°, rel. 16

Unit cell a=7.6203 b=7.6203 c=7.6203 alpha=60.00 beta=60.00 gamma=60.00
Fractional coordinates of all 22 atoms:
Dy 0.0000 0.0000 0.0000
Dy 0.0000 0.0000 0.5000
Dy 0.0000 0.5000 0.0000
Dy 0.5000 0.0000 0.0000
Pb 0.0000 0.5000 0.5000
Pb 0.5000 0.0000 0.5000
Pb 0.5000 0.5000 0.0000
Pb 0.5000 0.5000 0.5000
O 0.1250 0.1250 0.1250
O 0.1502 0.1502 0.5998
O 0.1502 0.5998 0.1502
O 0.1502 0.5998 0.5998
O 0.4002 0.4002 0.8498
O 0.4002 0.8498 0.4002
O 0.4002 0.8498 0.8498
O 0.5998 0.1502 0.1502
O 0.5998 0.1502 0.5998
O 0.5998 0.5998 0.1502
O 0.8498 0.4002 0.4002
O 0.8498 0.4002 0.8498
O 0.8498 0.8498 0.4002
O 0.8750 0.8750 0.8750

Repeat the second record exactly.
Diffraction record for Dy2P4O13. The powder X-ray diffraction pattern is computed, not measured: it uses a cell relaxed with GGA-PBE and Cu Kα (λ = 1.5418 Å).
Intensities are scaled so that the largest is 100.

Largest 8 diffraction maxima, by angle, 10 to 90 degrees two-theta:
- 2θ = 14.2°, rel. 50
- 2θ = 15.4°, rel. 61
- 2θ = 19.3°, rel. 44
- 2θ = 23.7°, rel. 27
- 2θ = 26.3°, rel. 37
- 2θ = 26.7°, rel. 40
- 2θ = 30.5°, rel. 100
- 2θ = 41.4°, rel. 18

Unit cell a=6.8838 b=6.8838 c=13.0005 alpha=103.93 beta=103.93 gamma=59.09
Fractional coordinates of all 38 atoms:
Dy 0.1896 0.1940 0.0500
Dy 0.1940 0.1896 0.5500
Dy 0.8060 0.8104 0.4500
Dy 0.8104 0.8060 0.9500
P 0.2602 0.2733 0.3403
P 0.2733 0.2602 0.8403
P 0.3399 0.6371 0.1340
P 0.3629 0.6601 0.3660
P 0.6371 0.3399 0.6340
P 0.6601 0.3629 0.8660
P 0.7267 0.7398 0.1597
P 0.7398 0.7267 0.6597
O 0.0627 0.4255 0.4067
O 0.0746 0.4240 0.9051
O 0.1748 0.8164 0.0602
O 0.1836 0.8252 0.4398
O 0.1934 0.2053 0.2241
O 0.2053 0.1934 0.7241
O 0.2551 0.7449 0.2500
O 0.3768 0.3979 0.1029
O 0.3979 0.3768 0.6029
O 0.3983 0.4077 0.3468
O 0.4077 0.3983 0.8468
O 0.4240 0.0746 0.4051
O 0.4255 0.0627 0.9067
O 0.5745 0.9373 0.0933
O 0.5760 0.9254 0.5949
O 0.5923 0.6017 0.1532
O 0.6017 0.5923 0.6532
O 0.6021 0.6232 0.3971
O 0.6232 0.6021 0.8971
O 0.7449 0.2551 0.7500
O 0.7947 0.8066 0.2759
O 0.8066 0.7947 0.7759
O 0.8164 0.1748 0.5602
O 0.8252 0.1836 0.9398
O 0.9254 0.5760 0.0949
O 0.9373 0.5745 0.5933